Entry 1:
MgZn: theoretical powder XRD pattern (CuKα), based on a PBE-relaxed structure.
Peak positions follow from Bragg's law for the DFT cell and can differ from measured ones.

Peak list (10 most intense, 10° ≤ 2θ ≤ 80°, sorted by position)
19.90°, d 4.463, rel. 61
24.02°, d 3.705, rel. 26
33.88°, d 2.646, rel. 36
36.77°, d 2.444, rel. 31
37.45°, d 2.401, rel. 72
38.62°, d 2.331, rel. 100
39.10°, d 2.304, rel. 100
41.45°, d 2.178, rel. 66
58.70°, d 1.573, rel. 22
64.39°, d 1.447, rel. 24

Cell and atoms:
Unit cell a=5.315 b=5.315 c=5.698 alpha=118.55 beta=118.55 gamma=54.76
Element x y z (fractional)
Mg1 0.000 0.000 0.000
Mg2 0.458 0.235 0.516
Mg3 0.765 0.542 0.484
Zn1 0.120 0.880 0.500
Zn2 0.282 0.342 0.994
Zn3 0.658 0.718 0.006

***

Entry 2:
Ti2CuNi: theoretical powder XRD pattern (CuKα), based on a PBE-relaxed structure.
Peak positions follow from Bragg's law for the DFT cell and can differ from measured ones.

Peak list (10 most intense, 10° ≤ 2θ ≤ 80°, sorted by position)
37.06°, d 2.425, rel. 7
39.87°, d 2.261, rel. 23
42.53°, d 2.126, rel. 28
42.93°, d 2.107, rel. 100
45.43°, d 1.996, rel. 14
59.70°, d 1.549, rel. 13
64.90°, d 1.437, rel. 7
70.55°, d 1.335, rel. 6
74.50°, d 1.274, rel. 7
78.11°, d 1.224, rel. 15

Cell and atoms:
Unit cell a=2.874 b=4.251 c=4.523 alpha=90.00 beta=90.00 gamma=90.00
Element x y z (fractional)
Ti1 0.000 0.000 0.000
Ti2 0.000 0.500 0.442
Cu1 0.500 0.000 0.531
Ni1 0.500 0.500 0.910

***

Entry 3:
Li8CeO6: theoretical powder XRD pattern (CuKα), based on a PBE-relaxed structure.
Peak positions follow from Bragg's law for the DFT cell and can differ from measured ones.

Peak list (10 most intense, 10° ≤ 2θ ≤ 80°, sorted by position)
16.39°, d 5.408, rel. 38
18.93°, d 4.689, rel. 100
21.19°, d 4.193, rel. 84
28.57°, d 3.124, rel. 32
33.12°, d 2.705, rel. 28
35.83°, d 2.506, rel. 67
43.16°, d 2.096, rel. 22
46.46°, d 1.954, rel. 50
50.58°, d 1.804, rel. 20
56.35°, d 1.633, rel. 19

Cell and atoms:
Unit cell a=6.317 b=6.317 c=6.317 alpha=53.19 beta=53.19 gamma=53.19
Element x y z (fractional)
Li1 0.003 0.398 0.729
Li2 0.146 0.146 0.146
Li3 0.271 0.997 0.602
Li4 0.398 0.729 0.003
Li5 0.602 0.271 0.997
Li6 0.729 0.003 0.398
Li7 0.854 0.854 0.854
Li8 0.997 0.602 0.271
Ce1 0.500 0.500 0.500
O1 0.104 0.740 0.400
O2 0.260 0.600 0.896
O3 0.400 0.104 0.740
O4 0.600 0.896 0.260
O5 0.740 0.400 0.104
O6 0.896 0.260 0.600

***

Entry 4:
TlRh3: theoretical powder XRD pattern (CuKα), based on a PBE-relaxed structure.
Peak positions follow from Bragg's law for the DFT cell and can differ from measured ones.

Peak list (10 most intense, 10° ≤ 2θ ≤ 80°, sorted by position)
26.55°, d 3.357, rel. 13
31.32°, d 2.856, rel. 5
36.32°, d 2.473, rel. 24
39.42°, d 2.286, rel. 26
41.51°, d 2.175, rel. 100
51.19°, d 1.785, rel. 3
54.68°, d 1.679, rel. 15
65.35°, d 1.428, rel. 17
72.92°, d 1.297, rel. 19
79.07°, d 1.211, rel. 20

Cell and atoms:
Unit cell a=5.712 b=5.712 c=4.571 alpha=90.00 beta=90.00 gamma=120.00
Element x y z (fractional)
Tl1 0.333 0.667 0.250
Tl2 0.667 0.333 0.750
Rh1 0.160 0.321 0.750
Rh2 0.160 0.840 0.750
Rh3 0.321 0.160 0.250
Rh4 0.679 0.840 0.750
Rh5 0.840 0.160 0.250
Rh6 0.840 0.679 0.250